# 1
This entry pairs a crystal structure of ThCuSi3 with its theoretical powder diffraction line list. Radiation: Cu Kα X-rays. Structure: the PBE geometry in Alexandria.
Peak positions follow from Bragg's law for the DFT cell and can differ from measured ones.

Most intense lines, 5° ≤ 2θ ≤ 70°, sorted by position:
2θ = 8.41°, intensity 40; 2θ = 16.87°, intensity 26; 2θ = 25.00°, intensity 33; 2θ = 33.01°, intensity 100; 2θ = 33.34°, intensity 40; 2θ = 43.20°, intensity 19; 2θ = 44.55°, intensity 25; 2θ = 56.12°, intensity 20

Cell and atoms:
a = 10.7117 Å, b = 10.7117 Å, c = 4.1888 Å
α = 90.00°, β = 90.00°, γ = 157.73°
Sites, in units of the cell vectors:
Th  0.1678  0.8322  0.0000
Th  0.8322  0.1678  0.0000
Cu  0.3901  0.6099  0.5000
Cu  0.6099  0.3901  0.5000
Si  0.0550  0.9450  0.5000
Si  0.2784  0.7216  0.5000
Si  0.4444  0.5556  0.0000
Si  0.5556  0.4444  0.0000
Si  0.7216  0.2784  0.5000
Si  0.9450  0.0550  0.5000



# 2
This entry pairs a crystal structure of RhPb5 with its theoretical powder diffraction line list. Radiation: Cu Kα X-rays. Structure: the PBE geometry in Alexandria.
Peak positions follow from Bragg's law for the DFT cell and can differ from measured ones.

Most intense lines, 5° ≤ 2θ ≤ 70°, sorted by position:
2θ = 28.87°, intensity 21; 2θ = 32.48°, intensity 100; 2θ = 32.94°, intensity 15; 2θ = 36.59°, intensity 49; 2θ = 50.05°, intensity 19; 2θ = 52.71°, intensity 18; 2θ = 60.67°, intensity 15; 2θ = 63.30°, intensity 30

Cell and atoms:
a = 3.4729 Å, b = 3.4729 Å, c = 13.5940 Å
α = 90.00°, β = 90.00°, γ = 90.00°
Sites, in units of the cell vectors:
Rh  0.0000  0.0000  0.0000
Pb  0.0000  0.0000  0.3177
Pb  0.0000  0.0000  0.6823
Pb  0.5000  0.5000  0.1213
Pb  0.5000  0.5000  0.5000
Pb  0.5000  0.5000  0.8787



# 3
This entry pairs a crystal structure of BaCa2Ga with its theoretical powder diffraction line list. Radiation: Cu Kα X-rays. Structure: the PBE geometry in Alexandria.
Peak positions follow from Bragg's law for the DFT cell and can differ from measured ones.

Most intense lines, 5° ≤ 2θ ≤ 70°, sorted by position:
2θ = 18.22°, intensity 36; 2θ = 19.90°, intensity 31; 2θ = 27.11°, intensity 100; 2θ = 28.48°, intensity 83; 2θ = 29.16°, intensity 57; 2θ = 34.17°, intensity 36; 2θ = 40.58°, intensity 28; 2θ = 45.53°, intensity 33

Cell and atoms:
a = 7.0292 Å, b = 7.0292 Å, c = 8.9212 Å
α = 90.00°, β = 90.00°, γ = 136.17°
Sites, in units of the cell vectors:
Ba  0.0531  0.9469  0.7500
Ba  0.9469  0.0531  0.2500
Ca  0.3388  0.6612  0.5515
Ca  0.3388  0.6612  0.9485
Ca  0.6612  0.3388  0.0515
Ca  0.6612  0.3388  0.4485
Ga  0.2145  0.7855  0.2500
Ga  0.7855  0.2145  0.7500



# 4
This entry pairs a crystal structure of Pm5SbTe4 with its theoretical powder diffraction line list. Radiation: Cu Kα X-rays. Structure: the PBE geometry in Alexandria.
Peak positions follow from Bragg's law for the DFT cell and can differ from measured ones.

Most intense lines, 5° ≤ 2θ ≤ 70°, sorted by position:
2θ = 24.37°, intensity 1; 2θ = 28.22°, intensity 100; 2θ = 40.33°, intensity 76; 2θ = 47.68°, intensity 1; 2θ = 49.94°, intensity 27; 2θ = 58.35°, intensity 13; 2θ = 66.05°, intensity 35

Cell and atoms:
a = 7.7485 Å, b = 7.7485 Å, c = 7.7485 Å
α = 99.58°, β = 99.58°, γ = 131.85°
Sites, in units of the cell vectors:
Pm  0.0000  0.0000  0.0000
Pm  0.2065  0.5995  0.8061
Pm  0.4005  0.2065  0.6070
Pm  0.5995  0.7935  0.3930
Pm  0.7935  0.4005  0.1939
Sb  0.5000  0.5000  0.0000
Te  0.0978  0.3017  0.3995
Te  0.3017  0.9022  0.2039
Te  0.6983  0.0978  0.7961
Te  0.9022  0.6983  0.6005